# 1
The following is a theoretical powder X-ray diffraction pattern of La3SnO. It was derived from the PBE geometry in Alexandria, using Cu Kα X-rays.
No peak broadening, texture or thermal motion is included.

Peak list (6 most intense, 2θ = 5–70°, in order of falling intensity)
| d_spacing | 2θ (°) | I (rel.) | (hkl) |
| --- | --- | --- | --- |
| 3.078 | 29.01 | 1000 | 1 2 0 |
| 3.154 | 28.30 | 735 | 0 1 2 |
| 2.831 | 31.61 | 633 | 0 1 -2 |
| 2.852 | 31.36 | 404 | 1 -2 0 |
| 3.172 | 28.13 | 401 | 2 0 0 |
| 2.703 | 33.14 | 382 | 2 0 -1 |

Structural model:
```
data_La3SnO
_cell_length_a 6.4765
_cell_length_b 6.8012
_cell_length_c 6.8187
_cell_angle_alpha 81.24
_cell_angle_beta 79.97
_cell_angle_gamma 83.24
_symmetry_space_group_name_H-M 'P -1'
_symmetry_Int_Tables_number 2
_symmetry_space_group_name_Hall '-P 1'
loop_
_atom_site_label
_atom_site_fract_x
_atom_site_fract_y
_atom_site_fract_z
La1 0.0000 0.0000 0.0000
La2 0.2340 0.4283 0.2206
La3 0.2543 0.8559 0.5212
La4 0.5000 0.0000 0.0000
Sn1 0.2708 0.3625 0.7157
O1 0.1192 0.1043 0.2808
```

---

# 2
The following is a theoretical powder X-ray diffraction pattern of OsPd. It was derived from the PBE geometry in Alexandria, using Cu Kα X-rays.
No peak broadening, texture or thermal motion is included.

Peak list (6 most intense, 2θ = 5–70°, in order of falling intensity)
| d_spacing | 2θ (°) | I (rel.) | (hkl) |
| --- | --- | --- | --- |
| 2.115 | 42.75 | 1000 | 1 0 2 |
| 8.859 | 9.98 | 342 | 0 0 1 |
| 2.407 | 37.36 | 246 | 1 0 0 |
| 2.215 | 40.74 | 245 | 0 0 4 |
| 1.390 | 67.38 | 175 | 1 1 0 |
| 1.630 | 56.46 | 145 | 0 1 4 |

Structural model:
```
data_OsPd
_cell_length_a 2.7797
_cell_length_b 2.7797
_cell_length_c 8.8590
_cell_angle_alpha 90.00
_cell_angle_beta 90.00
_cell_angle_gamma 120.00
_symmetry_space_group_name_H-M 'P -3 m 1'
_symmetry_Int_Tables_number 164
_symmetry_space_group_name_Hall '-P 3 2"'
loop_
_atom_site_label
_atom_site_fract_x
_atom_site_fract_y
_atom_site_fract_z
Os1 0.3333 0.6667 0.1155
Pd1 0.3333 0.6667 0.6328
```

---

# 3
The following is a theoretical powder X-ray diffraction pattern of Ce6Sn2OsC. It was derived from the PBE geometry in Alexandria, using Cu Kα X-rays.
No peak broadening, texture or thermal motion is included.

Peak list (6 most intense, 2θ = 5–70°, in order of falling intensity)
| d_spacing | 2θ (°) | I (rel.) | (hkl) |
| --- | --- | --- | --- |
| 2.995 | 29.84 | 1000 | 1 1 2 |
| 2.589 | 34.65 | 724 | 2 0 0 |
| 1.835 | 49.67 | 486 | 2 0 4 |
| 2.603 | 34.46 | 341 | 0 0 4 |
| 1.562 | 59.15 | 290 | 3 1 2 |
| 1.831 | 49.81 | 260 | 2 2 0 |

Structural model:
```
data_Ce6Sn2OsC
_cell_length_a 5.1776
_cell_length_b 5.1776
_cell_length_c 10.4108
_cell_angle_alpha 90.00
_cell_angle_beta 90.00
_cell_angle_gamma 90.00
_symmetry_space_group_name_H-M 'P 4/m m m'
_symmetry_Int_Tables_number 123
_symmetry_space_group_name_Hall '-P 4 2'
loop_
_atom_site_label
_atom_site_fract_x
_atom_site_fract_y
_atom_site_fract_z
Ce1 0.0000 0.0000 0.2288
Ce2 0.0000 0.5000 0.0000
Ce3 0.0000 0.5000 0.5000
Sn1 0.5000 0.5000 0.2396
Os1 0.0000 0.0000 0.5000
C1 0.0000 0.0000 0.0000
```

---

Which formula does entry 1 have? La3SnO